(1)
This entry pairs a crystal structure of Ho8AgGe3Te4 with its simulated XRD peak list. Radiation: Cu Ka. Structure: the GGA-PBE geometry in Alexandria.

Main lines, in order of rising 2θ (15 to 90 degrees two-theta):
2θ (°), I (rel.), (hkl)
25.7, 7, 2 0 2
29.7, 100, 0 2 4
42.1, 35, 2 0 8
42.7, 38, 2 2 0
52.9, 20, 4 0 4
61.6, 11, 0 4 8
69.4, 14, 2 2 12
70.2, 16, 2 4 4
77.8, 11, 4 2 8
78.3, 6, 6 0 0

Structure:
```
data_Ho8AgGe3Te4
_chemical_formula_sum 'Ho24 Ag3 Ge9 Te12'
_cell_length_a 8.4634
_cell_length_b 8.4634
_cell_length_c 21.1583
_cell_angle_alpha 90.00
_cell_angle_beta 90.00
_cell_angle_gamma 120.00
_space_group_name_H-M_alt 'R -3 m'
_space_group_IT_number 166
_space_group_name_Hall '-R 3 2"'
loop_
_atom_site_label
_atom_site_fract_x
_atom_site_fract_y
_atom_site_fract_z
Ho1 0.0000 0.0000 0.2394
Ho2 0.0117 0.5058 0.7579
Ag1 0.0000 0.0000 0.5000
Ge1 0.0000 0.5000 0.5000
Te1 0.0000 0.0000 0.0000
Te2 0.0000 0.5000 0.0000
```



(2)
This entry pairs a crystal structure of Er3TlOs with its simulated XRD peak list. Radiation: Cu Ka. Structure: the GGA-PBE geometry in Alexandria.

Main lines, in order of rising 2θ (15 to 90 degrees two-theta):
2θ (°), I (rel.), (hkl)
21.5, 28, 0 2 2
28.7, 26, 0 2 4
31.7, 46, 1 3 1
32.0, 44, 1 1 5
35.1, 100, 2 2 2
35.3, 68, 2 0 4
35.4, 23, 1 3 3
37.6, 23, 0 4 0
37.9, 38, 0 2 6
40.1, 20, 2 2 4

Structure:
```
data_Er3TlOs
_chemical_formula_sum 'Er24 Tl8 Os8'
_cell_length_a 6.5019
_cell_length_b 9.5794
_cell_length_c 16.3742
_cell_angle_alpha 90.00
_cell_angle_beta 90.00
_cell_angle_gamma 90.00
_space_group_name_H-M_alt 'F m m m'
_space_group_IT_number 69
_space_group_name_Hall '-F 2 2'
loop_
_atom_site_label
_atom_site_fract_x
_atom_site_fract_y
_atom_site_fract_z
Er1 0.0000 0.0000 0.2016
Er2 0.0000 0.1887 0.3856
Tl1 0.2182 0.0000 0.0000
Os1 0.2500 0.2500 0.2500
```



(3)
This entry pairs a crystal structure of CaLaRhSe with its simulated XRD peak list. Radiation: Cu Ka. Structure: the GGA-PBE geometry in Alexandria.

Main lines, in order of rising 2θ (15 to 90 degrees two-theta):
2θ (°), I (rel.), (hkl)
25.1, 24, 1 0 0
27.9, 61, 1 0 1
35.2, 100, 1 0 2
44.2, 44, 1 1 0
45.1, 17, 0 1 3
53.1, 10, 0 2 1
56.7, 9, 0 1 4
57.7, 24, 0 2 2
68.8, 18, 1 1 4
75.4, 21, 2 1 2

Structure:
```
data_CaLaRhSe
_chemical_formula_sum 'Ca1 La1 Rh1 Se1'
_cell_length_a 4.1016
_cell_length_b 4.1016
_cell_length_c 7.3052
_cell_angle_alpha 90.00
_cell_angle_beta 90.00
_cell_angle_gamma 120.00
_space_group_name_H-M_alt 'P 3 m 1'
_space_group_IT_number 156
loop_
_space_group_symop_operation_xyz
'x,y,z'
'-y,x-y,z'
'-x+y,-x,z'
'-y,-x,z'
'-x+y,y,z'
'x,x-y,z'
loop_
_atom_site_label
_atom_site_fract_x
_atom_site_fract_y
_atom_site_fract_z
Ca1 0.0000 0.0000 0.0000
La1 0.3333 0.6667 0.4724
Rh1 0.6667 0.3333 0.2587
Se1 0.6667 0.3333 0.7613
```



(4)
This entry pairs a crystal structure of Sc4Si2Pt7 with its simulated XRD peak list. Radiation: Cu Ka. Structure: the GGA-PBE geometry in Alexandria.

Main lines, in order of rising 2θ (15 to 90 degrees two-theta):
2θ (°), I (rel.), (hkl)
25.7, 32, 1 4 0
34.2, 47, 1 4 1
35.9, 36, 2 1 1
37.2, 49, 2 2 1
38.1, 100, 1 5 1
39.2, 57, 2 3 1
41.0, 29, 1 7 0
42.9, 46, 3 2 0
45.3, 49, 0 0 2
64.2, 28, 3 2 2

Structure:
```
data_Sc4Si2Pt7
_chemical_formula_sum 'Sc8 Si4 Pt14'
_cell_length_a 6.5415
_cell_length_b 16.3811
_cell_length_c 4.0022
_cell_angle_alpha 90.00
_cell_angle_beta 90.00
_cell_angle_gamma 90.00
_space_group_name_H-M_alt 'P b a m'
_space_group_IT_number 55
loop_
_space_group_symop_operation_xyz
'x,y,z'
'-x,-y,-z'
'-x,-y,z'
'x,y,-z'
'x+1/2,-y+1/2,-z'
'-x+1/2,y+1/2,z'
'-x+1/2,y+1/2,-z'
'x+1/2,-y+1/2,z'
loop_
_atom_site_label
_atom_site_fract_x
_atom_site_fract_y
_atom_site_fract_z
Sc1 0.0247 0.2094 0.0000
Sc2 0.2145 0.9610 0.0000
Si1 0.1621 0.6927 0.5000
Pt1 0.0000 0.5000 0.5000
Pt2 0.0920 0.6177 0.0000
Pt3 0.0933 0.0791 0.5000
Pt4 0.2137 0.3317 0.5000
```



(5)
This entry pairs a crystal structure of Ti11H7O24 with its simulated XRD peak list. Radiation: Cu Ka. Structure: the GGA-PBE geometry in Alexandria.

Main lines, in order of rising 2θ (15 to 90 degrees two-theta):
2θ (°), I (rel.), (hkl)
20.0, 75, 1 0 -3
20.1, 100, 1 0 3
32.9, 38, 3 0 -3
33.1, 32, 3 0 3
35.1, 49, 2 1 0
36.0, 27, 1 1 -3
39.6, 24, 2 1 -3
39.7, 34, 2 1 3
51.2, 24, 2 1 6
65.5, 24, 6 1 0

Structure:
```
data_Ti11H7O24
_chemical_formula_sum 'Ti11 H7 O24'
_cell_length_a 9.7119
_cell_length_b 3.0062
_cell_length_c 14.9742
_cell_angle_alpha 90.00
_cell_angle_beta 90.35
_cell_angle_gamma 90.00
_space_group_name_H-M_alt 'P 1 m 1'
_space_group_IT_number 6
loop_
_space_group_symop_operation_xyz
'x,y,z'
'x,-y,z'
loop_
_atom_site_label
_atom_site_fract_x
_atom_site_fract_y
_atom_site_fract_z
Ti1 0.0000 0.0000 0.0000
Ti2 0.0011 0.0000 0.3262
Ti3 0.2105 0.5000 0.8264
Ti4 0.2128 0.5000 0.5028
Ti5 0.2215 0.5000 0.1641
Ti6 0.4873 0.0000 0.1329
Ti7 0.5081 0.0000 0.7973
Ti8 0.5270 0.0000 0.4679
Ti9 0.7060 0.5000 0.9713
Ti10 0.7169 0.5000 0.2901
Ti11 0.9870 0.0000 0.6571
H1 0.3206 0.0000 0.9601
H2 0.3638 0.0000 0.6175
H3 0.3670 0.5000 0.3483
H4 0.7794 0.5000 0.7093
H5 0.8276 0.0000 0.8418
H6 0.8564 0.5000 0.4529
H7 0.9636 0.0000 0.5038
O1 0.0853 0.5000 0.9302
O2 0.0922 0.5000 0.2664
O3 0.1116 0.5000 0.6068
O4 0.1212 0.0000 0.4368
O5 0.1268 0.0000 0.7674
O6 0.1279 0.0000 0.0956
O7 0.3152 0.0000 0.8949
O8 0.3275 0.0000 0.2178
O9 0.3464 0.0000 0.5529
O10 0.3806 0.5000 0.7575
O11 0.3852 0.5000 0.0790
O12 0.3855 0.5000 0.4127
O13 0.5814 0.5000 0.8778
O14 0.5841 0.5000 0.1996
O15 0.5959 0.5000 0.5210
O16 0.6282 0.0000 0.3612
O17 0.6302 0.0000 0.0379
O18 0.6331 0.0000 0.7210
O19 0.8221 0.0000 0.9071
O20 0.8323 0.0000 0.2505
O21 0.8818 0.5000 0.7149
O22 0.8828 0.5000 0.3892
O23 0.8891 0.5000 0.0416
O24 0.8914 0.0000 0.5502
```



(6)
This entry pairs a crystal structure of CdCuH2O4 with its simulated XRD peak list. Radiation: Cu Ka. Structure: the GGA-PBE geometry in Alexandria.

Main lines, in order of rising 2θ (15 to 90 degrees two-theta):
2θ (°), I (rel.), (hkl)
23.1, 100, 1 0 1
28.4, 58, 0 0 2
28.6, 12, 0 2 0
37.1, 61, 1 2 1
40.7, 10, 0 2 2
47.2, 20, 1 0 3
47.3, 23, 2 2 0
56.1, 43, 2 2 2
64.4, 10, 1 4 1
78.6, 12, 2 2 4

Structure:
```
data_CdCuH2O4
_chemical_formula_sum 'Cd2 Cu2 H4 O8'
_cell_length_a 4.8805
_cell_length_b 6.2388
_cell_length_c 6.2885
_cell_angle_alpha 90.00
_cell_angle_beta 90.00
_cell_angle_gamma 90.00
_space_group_name_H-M_alt 'I 2 2 2'
_space_group_IT_number 23
loop_
_space_group_symop_operation_xyz
'x,y,z'
'-x,-y,z'
'x,-y,-z'
'-x,y,-z'
'x+1/2,y+1/2,z+1/2'
'-x+1/2,-y+1/2,z+1/2'
'x+1/2,-y+1/2,-z+1/2'
'-x+1/2,y+1/2,-z+1/2'
loop_
_atom_site_label
_atom_site_fract_x
_atom_site_fract_y
_atom_site_fract_z
Cd1 0.0000 0.0000 0.0000
Cu1 0.0000 0.5000 0.0000
H1 0.0000 0.1951 0.5000
O1 0.2442 0.2118 0.4947
```



(7)
This entry pairs a crystal structure of Np6As4P with its simulated XRD peak list. Radiation: Cu Ka. Structure: the GGA-PBE geometry in Alexandria.

Main lines, in order of rising 2θ (15 to 90 degrees two-theta):
2θ (°), I (rel.), (hkl)
25.2, 48, 2 1 1
26.6, 65, 1 0 4
27.4, 56, 1 2 2
34.0, 100, 1 3 1
35.1, 83, 2 1 4
37.4, 96, 2 2 3
42.9, 29, 4 1 0
51.2, 27, 2 1 7
53.2, 29, 5 1 1
69.3, 33, 0 7 2

Structure:
```
data_Np6As4P
_chemical_formula_sum 'Np36 As24 P6'
_cell_length_a 11.1549
_cell_length_b 11.1549
_cell_length_c 14.3046
_cell_angle_alpha 90.00
_cell_angle_beta 90.00
_cell_angle_gamma 120.00
_space_group_name_H-M_alt 'R -3 c'
_space_group_IT_number 167
_space_group_name_Hall '-R 3 2"c'
loop_
_atom_site_label
_atom_site_fract_x
_atom_site_fract_y
_atom_site_fract_z
Np1 0.0419 0.2131 0.3868
As1 0.0000 0.0000 0.2500
As2 0.0000 0.3972 0.2500
P1 0.0000 0.0000 0.0000
```



(8)
This entry pairs a crystal structure of Al2Cu with its simulated XRD peak list. Radiation: Cu Ka. Structure: the GGA-PBE geometry in Alexandria.

Main lines, in order of rising 2θ (15 to 90 degrees two-theta):
2θ (°), I (rel.), (hkl)
20.8, 100, 1 1 0
29.6, 33, 2 0 0
38.0, 51, 2 1 1
42.3, 34, 2 2 0
42.5, 79, 1 1 2
47.6, 75, 3 1 0
47.8, 64, 2 0 2
69.6, 16, 4 2 0
73.7, 22, 4 0 2
77.6, 25, 3 3 2

Structure:
```
data_Al2Cu
_chemical_formula_sum 'Al8 Cu4'
_cell_length_a 6.0402
_cell_length_b 6.0402
_cell_length_c 4.8989
_cell_angle_alpha 90.00
_cell_angle_beta 90.00
_cell_angle_gamma 90.00
_space_group_name_H-M_alt 'I 4/m c m'
_space_group_IT_number 140
_space_group_name_Hall '-I 4 2c'
loop_
_atom_site_label
_atom_site_fract_x
_atom_site_fract_y
_atom_site_fract_z
Al1 0.1586 0.3414 0.0000
Cu1 0.0000 0.0000 0.2500
```



(9)
This entry pairs a crystal structure of Pu5PdAu with its simulated XRD peak list. Radiation: Cu Ka. Structure: the GGA-PBE geometry in Alexandria.

Main lines, in order of rising 2θ (15 to 90 degrees two-theta):
2θ (°), I (rel.), (hkl)
24.9, 10, 1 1 0
28.2, 19, 1 1 1
34.8, 30, 0 2 0
36.0, 27, 2 0 0
36.7, 100, 1 1 2
51.0, 21, 2 2 0
63.7, 21, 1 3 2
65.2, 19, 3 1 2
78.1, 10, 2 2 4
86.5, 9, 3 3 2

Structure:
```
data_Pu5PdAu
_chemical_formula_sum 'Pu5 Pd1 Au1'
_cell_length_a 4.9860
_cell_length_b 5.1516
_cell_length_c 6.7030
_cell_angle_alpha 90.00
_cell_angle_beta 90.00
_cell_angle_gamma 90.00
_space_group_name_H-M_alt 'P m m m'
_space_group_IT_number 47
loop_
_space_group_symop_operation_xyz
'x,y,z'
'-x,-y,-z'
'-x,-y,z'
'x,y,-z'
'x,-y,-z'
'-x,y,z'
'-x,y,-z'
'x,-y,z'
loop_
_atom_site_label
_atom_site_fract_x
_atom_site_fract_y
_atom_site_fract_z
Pu1 0.0000 0.0000 0.0000
Pu2 0.0000 0.5000 0.2739
Pu3 0.5000 0.0000 0.2674
Pd1 0.0000 0.0000 0.5000
Au1 0.5000 0.5000 0.0000
```



(10)
This entry pairs a crystal structure of VTcMo14 with its simulated XRD peak list. Radiation: Cu Ka. Structure: the GGA-PBE geometry in Alexandria.

Main lines, in order of rising 2θ (15 to 90 degrees two-theta):
2θ (°), I (rel.), (hkl)
19.9, 1, 1 1 1
40.5, 100, 2 2 2
40.6, 20, 0 4 0
58.6, 19, 4 0 0
73.6, 20, 4 0 4
73.7, 20, 4 4 0
87.4, 2, 0 0 8
87.6, 9, 4 4 4
87.8, 2, 0 8 0

Structure:
```
data_VTcMo14
_chemical_formula_sum 'V2 Tc2 Mo28'
_cell_length_a 6.3011
_cell_length_b 8.8973
_cell_length_c 8.9286
_cell_angle_alpha 90.00
_cell_angle_beta 90.00
_cell_angle_gamma 90.00
_space_group_name_H-M_alt 'C m m m'
_space_group_IT_number 65
_space_group_name_Hall '-C 2 2'
loop_
_atom_site_label
_atom_site_fract_x
_atom_site_fract_y
_atom_site_fract_z
V1 0.0000 0.0000 0.0000
Tc1 0.0000 0.5000 0.0000
Mo1 0.0000 0.0000 0.5000
Mo2 0.0000 0.2495 0.2473
Mo3 0.0000 0.5000 0.5000
Mo4 0.2481 0.0000 0.2479
Mo5 0.2500 0.2500 0.0000
Mo6 0.2500 0.2500 0.5000
```



(11)
This entry pairs a crystal structure of Ce2TmPu3Te6 with its simulated XRD peak list. Radiation: Cu Ka. Structure: the GGA-PBE geometry in Alexandria.

Main lines, in order of rising 2θ (15 to 90 degrees two-theta):
2θ (°), I (rel.), (hkl)
28.5, 100, 1 1 -2
40.6, 39, 2 0 -4
40.8, 38, 0 2 0
50.1, 7, 4 0 4
50.4, 7, 8 0 -4
50.6, 14, 6 2 0
58.9, 13, 2 2 -4
66.6, 12, 4 2 4
66.9, 18, 1 3 -2
74.2, 11, 5 3 2

Structure:
```
data_Ce2TmPu3Te6
_chemical_formula_sum 'Ce4 Tm2 Pu6 Te12'
_cell_length_a 19.2955
_cell_length_b 4.4174
_cell_length_c 8.9059
_cell_angle_alpha 90.00
_cell_angle_beta 102.94
_cell_angle_gamma 90.00
_space_group_name_H-M_alt 'C 1 2/m 1'
_space_group_IT_number 12
loop_
_space_group_symop_operation_xyz
'x,y,z'
'-x,-y,-z'
'-x,y,-z'
'x,-y,z'
'x+1/2,y+1/2,z'
'-x+1/2,-y+1/2,-z'
'-x+1/2,y+1/2,-z'
'x+1/2,-y+1/2,z'
loop_
_atom_site_label
_atom_site_fract_x
_atom_site_fract_y
_atom_site_fract_z
Ce1 0.1655 0.0000 0.3326
Tm1 0.0000 0.5000 0.0000
Pu1 0.0000 0.5000 0.5000
Pu2 0.1701 0.0000 0.8340
Te1 0.0031 0.0000 0.7587
Te2 0.1628 0.5000 0.0768
Te3 0.1657 0.5000 0.5869
```



(12)
This entry pairs a crystal structure of Ga2Fe13 with its simulated XRD peak list. Radiation: Cu Ka. Structure: the GGA-PBE geometry in Alexandria.

Main lines, in order of rising 2θ (15 to 90 degrees two-theta):
2θ (°), I (rel.), (hkl)
43.4, 42, -1 1 2
43.7, 100, 2 0 1
43.7, 59, 0 1 -3
43.9, 39, 1 -3 2
44.4, 47, -1 2 1
44.4, 25, 3 -1 0
44.5, 35, 3 -2 0
45.1, 28, 2 -1 2
45.3, 24, 1 -2 3
45.6, 49, 2 -3 2

Structure:
```
data_Ga2Fe13
_chemical_formula_sum 'Ga2 Fe13'
_cell_length_a 6.2676
_cell_length_b 6.3469
_cell_length_c 6.3569
_cell_angle_alpha 119.34
_cell_angle_beta 90.36
_cell_angle_gamma 119.12
_space_group_name_H-M_alt 'P -1'
_space_group_IT_number 2
loop_
_space_group_symop_operation_xyz
'x,y,z'
'-x,-y,-z'
loop_
_atom_site_label
_atom_site_fract_x
_atom_site_fract_y
_atom_site_fract_z
Ga1 0.1921 0.2978 0.1344
Fe1 0.0000 0.5000 0.0000
Fe2 0.0675 0.6793 0.4548
Fe3 0.1211 0.0099 0.3348
Fe4 0.2782 0.8912 0.9299
Fe5 0.3323 0.4402 0.8153
Fe6 0.4341 0.6686 0.5900
Fe7 0.4642 0.8397 0.2774
```